This entry pairs a crystal structure of LiBPt3 with its computed powder diffractogram. Radiation: Cu Kα, 1.54184 Å. Structure: the PBE geometry in Alexandria.
Kinematic intensities with the Lorentz-polarization factor, no thermal factor.

a = 9.3546 Å, b = 9.3546 Å, c = 2.7970 Å
α = 90.00°, β = 90.00°, γ = 120.00°
Space group P-62m (No. 189)
Symmetry-distinct sites (fractional):
Li 0.0000 0.3635 0.0000 (multiplicity 3)
B 0.0000 0.0000 0.5000 (multiplicity 1)
B 0.3333 0.6667 0.0000 (multiplicity 2)
Pt 0.0000 0.8227 0.0000 (multiplicity 3)
Pt 0.1652 0.6815 0.5000 (multiplicity 6)

Largest 10 diffraction maxima, by intensity, 15 to 90 degrees two-theta:
2θ (°), I/Imax, index
38.49, 100, 2 2 0
43.84, 78, 2 1 1
18.97, 70, 1 1 0
33.91, 48, 1 0 1
52.22, 32, 3 1 1
79.93, 25, 2 2 2
73.34, 18, 5 1 1
79.75, 17, 4 3 1
69.63, 16, 6 0 0
33.18, 15, 3 0 0



This entry pairs a crystal structure of Li2BPt3 with its computed powder diffractogram. Radiation: Cu Kα, 1.54184 Å. Structure: the PBE geometry in Alexandria.
Kinematic intensities with the Lorentz-polarization factor, no thermal factor.

a = 6.8425 Å, b = 6.8425 Å, c = 6.8425 Å
α = 90.00°, β = 90.00°, γ = 90.00°
Space group P4_332 (No. 212)
Symmetry-distinct sites (fractional):
Li 0.0560 0.4440 0.5560 (multiplicity 8)
B 0.1250 0.8750 0.3750 (multiplicity 4)
Pt 0.0582 0.6250 0.1918 (multiplicity 12)

Largest 10 diffraction maxima, by intensity, 15 to 90 degrees two-theta:
2θ (°), I/Imax, index
39.51, 100, 2 2 1
41.74, 65, 3 1 0
22.51, 62, 1 1 1
29.18, 43, 2 1 0
32.04, 40, 2 1 1
43.88, 36, 3 1 1
70.13, 23, 4 3 1
68.57, 22, 4 3 0
57.11, 22, 3 3 0
87.98, 21, 5 3 2



This entry pairs a crystal structure of LiB2Pt3 with its computed powder diffractogram. Radiation: Cu Kα, 1.54184 Å. Structure: the PBE geometry in Alexandria.
Kinematic intensities with the Lorentz-polarization factor, no thermal factor.

a = 3.1350 Å, b = 9.4993 Å, c = 5.4832 Å
α = 90.00°, β = 90.00°, γ = 90.00°
Space group Amm2 (No. 38)
Symmetry-distinct sites (fractional):
Li 0.0000 0.0000 0.0000 (multiplicity 2)
B 0.0000 0.1667 0.5009 (multiplicity 4)
Pt 0.5000 0.0000 0.5011 (multiplicity 2)
Pt 0.5000 0.2500 0.2512 (multiplicity 4)

Largest 10 diffraction maxima, by intensity, 15 to 90 degrees two-theta:
2θ (°), I/Imax, index
48.07, 100, 1 4 0
37.89, 96, 0 4 0
18.68, 66, 0 2 0
28.47, 63, 1 0 0
72.22, 30, 2 4 0
34.27, 27, 1 2 0
75.72, 25, 1 6 2
87.95, 19, 1 8 0
68.43, 19, 0 6 2
43.87, 17, 1 3 1



This entry pairs a crystal structure of Li2Tm2BPt4 with its computed powder diffractogram. Radiation: Cu Kα, 1.54184 Å. Structure: the PBE geometry in Alexandria.
Kinematic intensities with the Lorentz-polarization factor, no thermal factor.

a = 6.0664 Å, b = 6.0664 Å, c = 7.9691 Å
α = 90.00°, β = 90.00°, γ = 90.00°
Space group I4/mmm (No. 139)
Symmetry-distinct sites (fractional):
Li 0.0000 0.0000 0.2018 (multiplicity 4)
Tm 0.0000 0.5000 0.2500 (multiplicity 4)
B 0.0000 0.0000 0.5000 (multiplicity 2)
Pt 0.2469 0.2469 0.5000 (multiplicity 8)

Largest 10 diffraction maxima, by intensity, 15 to 90 degrees two-theta:
2θ (°), I/Imax, index
37.26, 100, 2 0 2
42.13, 37, 2 2 0
73.79, 28, 4 2 2
63.76, 22, 2 2 4
20.71, 18, 1 1 0
30.62, 16, 1 1 2
45.53, 15, 0 0 4
22.31, 14, 0 0 2
29.45, 13, 2 0 0
61.10, 12, 4 0 0



This entry pairs a crystal structure of Li2B7Rh12 with its computed powder diffractogram. Radiation: Cu Kα, 1.54184 Å. Structure: the PBE geometry in Alexandria.
Kinematic intensities with the Lorentz-polarization factor, no thermal factor.

a = 8.8242 Å, b = 8.8242 Å, c = 3.6644 Å
α = 90.00°, β = 90.00°, γ = 120.00°
Space group P-3 (No. 147)
Symmetry-distinct sites (fractional):
Li 0.3333 0.6667 0.2471 (multiplicity 2)
B 0.0000 0.0000 0.0000 (multiplicity 1)
B 0.0724 0.3799 0.7448 (multiplicity 6)
Rh 0.1061 0.6283 0.7464 (multiplicity 6)
Rh 0.1216 0.2643 0.2419 (multiplicity 6)

Largest 10 diffraction maxima, by intensity, 15 to 90 degrees two-theta:
2θ (°), I/Imax, index
39.74, 100, 1 2 1
33.89, 28, 2 0 1
30.96, 25, 1 2 0
49.75, 24, 0 0 2
52.17, 22, 2 3 0
31.74, 19, 2 -1 1
20.13, 16, 1 1 0
42.66, 15, 1 3 0
83.24, 14, 7 -2 1
74.98, 14, 2 3 2



This entry pairs a crystal structure of Li3BRh2 with its computed powder diffractogram. Radiation: Cu Kα, 1.54184 Å. Structure: the PBE geometry in Alexandria.
Kinematic intensities with the Lorentz-polarization factor, no thermal factor.

a = 4.2765 Å, b = 11.6832 Å, c = 2.9442 Å
α = 90.00°, β = 90.00°, γ = 90.00°
Space group Cmmm (No. 65)
Symmetry-distinct sites (fractional):
Li 0.0000 0.0000 0.0000 (multiplicity 2)
Li 0.0000 0.1833 0.5000 (multiplicity 4)
B 0.0000 0.5000 0.5000 (multiplicity 2)
Rh 0.0000 0.3753 0.0000 (multiplicity 4)

Largest 10 diffraction maxima, by intensity, 15 to 90 degrees two-theta:
2θ (°), I/Imax, index
22.14, 100, 1 1 0
37.89, 43, 1 1 1
43.99, 41, 1 3 1
30.36, 39, 0 0 1
30.61, 38, 0 4 0
31.06, 34, 1 3 0
43.65, 33, 0 4 1
62.38, 22, 2 4 1
42.27, 22, 2 0 0
54.54, 18, 1 5 1



This entry pairs a crystal structure of Li6BRh4 with its computed powder diffractogram. Radiation: Cu Kα, 1.54184 Å. Structure: the PBE geometry in Alexandria.
Kinematic intensities with the Lorentz-polarization factor, no thermal factor.

a = 8.3119 Å, b = 8.3119 Å, c = 4.4863 Å
α = 90.00°, β = 90.00°, γ = 90.00°
Space group I4/mmm (No. 139)
Symmetry-distinct sites (fractional):
Li 0.0000 0.5000 0.2500 (multiplicity 4)
Li 0.1721 0.1721 0.0000 (multiplicity 8)
B 0.0000 0.0000 0.5000 (multiplicity 2)
Rh 0.0000 0.2392 0.5000 (multiplicity 8)

Largest 10 diffraction maxima, by intensity, 15 to 90 degrees two-theta:
2θ (°), I/Imax, index
22.52, 100, 1 0 1
30.42, 71, 2 2 0
31.25, 56, 2 1 1
44.17, 42, 3 2 1
51.23, 36, 2 2 2
43.55, 30, 4 0 0
49.57, 24, 4 1 1
40.20, 20, 0 0 2
60.76, 20, 4 0 2
38.18, 19, 3 0 1



This entry pairs a crystal structure of LiY2B2Rh5 with its computed powder diffractogram. Radiation: Cu Kα, 1.54184 Å. Structure: the PBE geometry in Alexandria.
Kinematic intensities with the Lorentz-polarization factor, no thermal factor.

a = 9.5109 Å, b = 9.5109 Å, c = 3.1892 Å
α = 90.00°, β = 90.00°, γ = 90.00°
Space group P4/mbm (No. 127)
Symmetry-distinct sites (fractional):
Li 0.0000 0.0000 0.0000 (multiplicity 2)
Y 0.1756 0.3244 0.0000 (multiplicity 4)
B 0.1252 0.6252 0.0000 (multiplicity 4)
Rh 0.0000 0.5000 0.5000 (multiplicity 2)
Rh 0.0700 0.7800 0.5000 (multiplicity 8)

Largest 10 diffraction maxima, by intensity, 15 to 90 degrees two-theta:
2θ (°), I/Imax, index
39.05, 100, 4 1 0
35.17, 92, 2 1 1
41.26, 82, 3 1 1
44.58, 47, 3 2 1
69.89, 45, 5 5 0
27.98, 37, 0 0 1
42.51, 34, 4 2 0
71.99, 32, 4 1 2
40.23, 30, 3 3 0
38.92, 26, 2 2 1



This entry pairs a crystal structure of LiB2Sb2 with its computed powder diffractogram. Radiation: Cu Kα, 1.54184 Å. Structure: the PBE geometry in Alexandria.
Kinematic intensities with the Lorentz-polarization factor, no thermal factor.

a = 3.9019 Å, b = 3.9019 Å, c = 14.0632 Å
α = 90.00°, β = 90.00°, γ = 90.00°
Space group I4/mmm (No. 139)
Symmetry-distinct sites (fractional):
Li 0.0000 0.0000 0.0000 (multiplicity 2)
B 0.0000 0.5000 0.2500 (multiplicity 4)
Sb 0.0000 0.0000 0.3475 (multiplicity 4)

Largest 10 diffraction maxima, by intensity, 15 to 90 degrees two-theta:
2θ (°), I/Imax, index
29.79, 100, 1 0 3
23.66, 56, 1 0 1
51.14, 37, 1 1 6
32.45, 37, 1 1 0
56.25, 32, 2 1 3
41.61, 27, 1 1 4
25.33, 18, 0 0 4
46.55, 17, 2 0 0
82.93, 13, 3 1 4
71.63, 13, 2 1 7



This entry pairs a crystal structure of LiScB12 with its computed powder diffractogram. Radiation: Cu Kα, 1.54184 Å. Structure: the PBE geometry in Alexandria.
Kinematic intensities with the Lorentz-polarization factor, no thermal factor.

a = 4.1000 Å, b = 4.1000 Å, c = 8.2104 Å
α = 90.00°, β = 90.00°, γ = 90.00°
Space group P4/mmm (No. 123)
Symmetry-distinct sites (fractional):
Li 0.0000 0.0000 0.0000 (multiplicity 1)
Sc 0.0000 0.0000 0.5000 (multiplicity 1)
B 0.1994 0.5000 0.2531 (multiplicity 8)
B 0.5000 0.5000 0.1011 (multiplicity 2)
B 0.5000 0.5000 0.4017 (multiplicity 2)

Largest 10 diffraction maxima, by intensity, 15 to 90 degrees two-theta:
2θ (°), I/Imax, index
30.83, 100, 1 1 0
38.00, 58, 1 1 2
24.26, 49, 1 0 1
68.64, 46, 2 2 2
49.70, 34, 2 1 0
44.16, 32, 2 0 0
72.93, 30, 3 1 0
32.75, 27, 1 1 1
45.60, 17, 1 1 3
39.59, 13, 1 0 3



This entry pairs a crystal structure of Li3BSe3 with its computed powder diffractogram. Radiation: Cu Kα, 1.54184 Å. Structure: the PBE geometry in Alexandria.
Kinematic intensities with the Lorentz-polarization factor, no thermal factor.

a = 7.6586 Å, b = 6.7836 Å, c = 10.0295 Å
α = 90.00°, β = 99.66°, γ = 90.00°
Space group P2_1/c (No. 14)
Symmetry-distinct sites (fractional):
Li 0.0793 0.2341 0.0832 (multiplicity 4)
Li 0.1852 0.7411 0.2077 (multiplicity 4)
Li 0.4101 0.1725 0.3930 (multiplicity 4)
B 0.3278 0.5809 0.4491 (multiplicity 4)
Se 0.1241 0.0804 0.8370 (multiplicity 4)
Se 0.2497 0.6327 0.9742 (multiplicity 4)
Se 0.4338 0.0599 0.1333 (multiplicity 4)

Largest 10 diffraction maxima, by intensity, 15 to 90 degrees two-theta:
2θ (°), I/Imax, index
29.66, 100, 1 2 -1
29.78, 90, 2 1 1
30.15, 77, 0 1 3
27.21, 67, 2 0 -2
26.62, 46, 1 1 2
38.16, 33, 3 1 0
46.58, 32, 1 3 2
38.74, 24, 1 1 -4
15.84, 20, 0 1 1
19.75, 18, 1 0 -2



This entry pairs a crystal structure of LiB2Se3 with its computed powder diffractogram. Radiation: Cu Kα, 1.54184 Å. Structure: the PBE geometry in Alexandria.
Kinematic intensities with the Lorentz-polarization factor, no thermal factor.

a = 18.2906 Å, b = 3.8641 Å, c = 6.7431 Å
α = 90.00°, β = 104.17°, γ = 90.00°
Space group C2/m (No. 12)
Symmetry-distinct sites (fractional):
Li 0.1199 0.0000 0.2421 (multiplicity 4)
B 0.0533 0.5000 0.6876 (multiplicity 4)
B 0.2006 0.0000 0.8920 (multiplicity 4)
Se 0.0644 0.5000 0.3886 (multiplicity 4)
Se 0.0855 0.0000 0.8392 (multiplicity 4)
Se 0.2379 0.5000 0.7978 (multiplicity 4)

Largest 10 diffraction maxima, by intensity, 15 to 90 degrees two-theta:
2θ (°), I/Imax, index
32.49, 100, 3 1 1
29.12, 82, 3 1 -1
26.64, 73, 1 1 -1
30.24, 71, 6 0 0
47.04, 68, 0 2 0
31.40, 45, 2 0 2
59.94, 39, 5 1 3
29.72, 37, 4 0 -2
40.11, 36, 5 1 -2
57.23, 24, 9 1 1